Starting from a PBE+U-relaxed structure, the X-ray diffraction stick pattern of CdCoTeO was computed for λ = 1.5418 Å (Cu Kα).
No peak broadening, texture or thermal motion is included.

Atomic structure:
a = 3.6186 Å, b = 3.6186 Å, c = 13.3928 Å
α = 90.00°, β = 90.00°, γ = 120.00°
Space group P6_3mc (No. 186)
Inequivalent atoms, fractional coordinates:
1 Cd 0.0000 0.0000 0.0000 (multiplicity 2)
2 Co 0.3333 0.6667 0.2988 (multiplicity 2)
3 Te 0.3333 0.6667 0.6489 (multiplicity 2)
4 O 0.0000 0.0000 0.3399 (multiplicity 2)

Peak list (10 most intense, 10 to 90 degrees two-theta, sorted by position)
2theta, I/Imax
13.22, 23
29.27, 35
31.52, 100
34.98, 73
39.38, 44
40.41, 25
44.50, 21
50.44, 49
62.90, 23
66.53, 32